1.
Structure and simulated XRD peak list of Cs4Zr6BBr17 (a crystal structure in OQMD, relaxed with GGA-PBE; Cu Kα).

Peak list (10 most intense, 10 to 90 degrees two-theta, low angle first)
d 8.749, 2θ 10.1, I = 21
d 7.240, 2θ 12.2, I = 20
d 4.043, 2θ 22.0, I = 18
d 3.224, 2θ 27.7, I = 24
d 3.128, 2θ 28.5, I = 20
d 2.994, 2θ 29.8, I = 100
d 2.657, 2θ 33.7, I = 40
d 2.579, 2θ 34.8, I = 22
d 2.280, 2θ 39.5, I = 19
d 1.870, 2θ 48.7, I = 23

Atomic structure:
```
56
Lattice="12.896 0.000 0.000 0.000 12.896 0.000 0.000 0.000 11.910" Properties=species:S:1:pos:R:3 pbc="T T T"
Cs 0.181 2.852 4.093
Cs 2.852 12.715 7.817
Cs 3.596 6.267 4.093
Cs 6.267 9.300 7.817
Cs 6.629 3.596 7.817
Cs 9.300 6.629 4.093
Cs 10.043 0.181 7.817
Cs 12.715 10.043 4.093
Zr 1.184 7.631 8.368
Zr 1.186 7.634 11.693
Zr 1.662 4.786 10.064
Zr 4.786 11.234 1.846
Zr 5.262 1.186 0.217
Zr 5.264 1.184 3.542
Zr 7.634 11.709 0.217
Zr 7.631 11.712 3.542
Zr 8.109 1.662 1.846
Zr 11.234 8.109 10.064
Zr 11.712 5.264 8.368
Zr 11.709 5.262 11.693
B 0.000 6.448 10.034
B 6.448 0.000 1.876
Br 0.000 0.000 5.955
Br 0.000 6.448 1.981
Br 0.000 6.448 6.169
Br 0.526 3.178 0.024
Br 0.573 3.201 8.148
Br 2.646 9.094 6.374
Br 2.666 9.114 1.885
Br 2.686 9.134 10.019
Br 3.178 12.369 11.886
Br 3.201 12.322 3.761
Br 3.247 5.875 8.148
Br 3.270 5.921 0.024
Br 3.762 2.686 1.891
Br 3.782 2.666 10.025
Br 3.802 2.646 5.536
Br 5.875 9.648 3.761
Br 5.921 9.626 11.886
Br 6.448 0.000 5.740
Br 6.448 0.000 9.929
Br 6.448 6.448 5.955
Br 6.974 3.270 11.886
Br 7.021 3.247 3.761
Br 9.094 10.250 5.536
Br 9.114 10.230 10.025
Br 9.134 10.209 1.891
Br 9.626 6.974 0.024
Br 9.648 7.021 8.148
Br 9.695 0.573 3.761
Br 9.717 0.526 11.886
Br 10.209 3.762 10.019
Br 10.230 3.782 1.885
Br 10.250 3.802 6.374
Br 12.322 9.695 8.148
Br 12.369 9.717 0.024
```

2.
Structure and simulated XRD peak list of La2CuGe4Pt (a crystal structure in OQMD, relaxed with GGA-PBE; Cu Kα).

Peak list (10 most intense, 10 to 90 degrees two-theta, low angle first)
d 8.658, 2θ 10.2, I = 39
d 3.062, 2θ 29.2, I = 59
d 2.739, 2θ 32.7, I = 100
d 2.724, 2θ 32.9, I = 70
d 2.411, 2θ 37.3, I = 44
d 2.205, 2θ 40.9, I = 47
d 2.195, 2θ 41.1, I = 46
d 1.709, 2θ 53.6, I = 35
d 1.627, 2θ 56.5, I = 26
d 1.556, 2θ 59.4, I = 31

Atomic structure:
```
8
Lattice="4.390 0.000 0.000 0.000 2.205 8.658 0.000 -2.205 8.658" Properties=species:S:1:pos:R:3 pbc="T T T"
La 0.000 0.000 0.000
La 2.195 0.000 3.716
Cu 0.000 0.000 13.535
Ge 0.000 0.000 6.083
Ge 0.000 0.000 11.140
Ge 2.195 0.000 9.835
Ge 2.195 0.000 14.766
Pt 2.195 0.000 7.351
```

3.
Structure and simulated XRD peak list of CsFeAgSeS2 (a crystal structure in OQMD, relaxed with GGA-PBE; Cu Kα).

Peak list (10 most intense, 10 to 90 degrees two-theta, low angle first)
d 8.088, 2θ 10.9, I = 34
d 5.132, 2θ 17.3, I = 42
d 4.044, 2θ 22.0, I = 17
d 3.176, 2θ 28.1, I = 13
d 2.880, 2θ 31.1, I = 100
d 2.566, 2θ 35.0, I = 37
d 2.387, 2θ 37.7, I = 16
d 2.256, 2θ 40.0, I = 39
d 1.912, 2θ 47.5, I = 16
d 1.693, 2θ 54.2, I = 37

Atomic structure:
```
12
Lattice="1.805 -8.088 0.000 1.805 8.088 0.000 0.000 0.000 10.263" Properties=species:S:1:pos:R:3 pbc="T T T"
Cs 1.805 4.143 7.698
Cs 1.805 -4.143 2.566
Fe 0.000 0.000 0.000
Fe 0.000 0.000 5.132
Ag 1.805 0.818 2.566
Ag 1.805 -0.818 7.698
Se 1.805 7.002 2.566
Se 1.805 -7.002 7.698
S 1.805 1.504 0.221
S 1.805 1.504 4.911
S 1.805 -1.504 5.352
S 1.805 -1.504 10.043
```

4.
Structure and simulated XRD peak list of Dy3Tm4Cu2Te2 (a crystal structure in OQMD, relaxed with GGA-PBE; Cu Kα).

Peak list (10 most intense, 10 to 90 degrees two-theta, low angle first)
d 3.117, 2θ 28.6, I = 40
d 2.973, 2θ 30.1, I = 53
d 2.935, 2θ 30.5, I = 24
d 2.705, 2θ 33.1, I = 71
d 2.642, 2θ 33.9, I = 100
d 2.610, 2θ 34.4, I = 52
d 2.353, 2θ 38.3, I = 21
d 1.961, 2θ 46.3, I = 30
d 1.782, 2θ 51.3, I = 25
d 1.588, 2θ 58.1, I = 34

Atomic structure:
```
11
Lattice="-1.961 7.710 4.771 1.961 -7.710 4.771 1.961 7.710 -4.771" Properties=species:S:1:pos:R:3 pbc="T T T"
Dy 0.000 0.000 0.000
Dy 1.961 5.711 0.796
Dy 0.000 1.999 5.566
Tm 1.961 2.859 -1.146
Tm 1.961 -2.229 2.251
Tm 1.961 2.229 2.251
Tm 0.000 4.851 3.625
Cu 0.000 3.626 0.705
Cu 0.000 11.794 0.705
Te 0.000 0.000 3.193
Te 0.000 7.710 2.267
```